Entry 1:
For AcVSi, the GGA-PBE geometry in Alexandria gives the computed PXRD pattern in this record (Cu Kα, 1.54184 Å).
Lines closer than 0.1° are merged.

Structural model:
Cell: 6.598 5.965 3.607 Å, 90.00 90.00 90.00°
Positions (direct):
Ac (0.250, 0.000, 0.228)
Ac (0.750, 0.000, 0.772)
V (0.000, 0.500, 0.500)
V (0.500, 0.500, 0.500)
Si (0.250, 0.500, 0.987)
Si (0.750, 0.500, 0.013)

Peak list (8 most intense, 2θ from 10° to 90°, in order of rising 2θ)
| hkl | 2theta | I/Imax |
| --- | --- | --- |
| 0 1 0 | 14.85 | 56 |
| 2 0 0 | 27.03 | 31 |
| 1 0 1 | 28.20 | 66 |
| 0 2 0 | 29.96 | 55 |
| 2 1 0 | 30.98 | 66 |
| 1 1 1 | 32.01 | 100 |
| 1 2 1 | 41.61 | 48 |
| 3 1 1 | 50.99 | 28 |

Entry 2:
For AcYSi4, the GGA-PBE geometry in Alexandria gives the computed PXRD pattern in this record (Cu Kα, 1.54184 Å).
Lines closer than 0.1° are merged.

Structural model:
Cell: 7.997 15.485 4.258 Å, 90.00 90.00 90.00°
Positions (direct):
Ac (0.128, 0.151, 0.000)
Ac (0.372, 0.651, 0.000)
Ac (0.628, 0.349, 0.000)
Ac (0.872, 0.849, 0.000)
Y (0.135, 0.412, 0.000)
Y (0.365, 0.912, 0.000)
Y (0.635, 0.088, 0.000)
Y (0.865, 0.588, 0.000)
Si (0.015, 0.694, 0.500)
Si (0.120, 0.953, 0.500)
Si (0.127, 0.547, 0.500)
Si (0.213, 0.803, 0.500)
Si (0.287, 0.303, 0.500)
Si (0.373, 0.047, 0.500)
Si (0.380, 0.453, 0.500)
Si (0.485, 0.194, 0.500)
Si (0.515, 0.806, 0.500)
Si (0.620, 0.547, 0.500)
Si (0.627, 0.953, 0.500)
Si (0.713, 0.697, 0.500)
Si (0.787, 0.197, 0.500)
Si (0.873, 0.453, 0.500)
Si (0.880, 0.047, 0.500)
Si (0.985, 0.306, 0.500)

Peak list (8 most intense, 2θ from 10° to 90°, in order of rising 2θ)
| hkl | 2theta | I/Imax |
| --- | --- | --- |
| 1 3 0 | 20.48 | 19 |
| 0 0 1 | 20.86 | 23 |
| 0 4 0 | 22.97 | 58 |
| 1 3 1 | 29.40 | 29 |
| 0 4 1 | 31.23 | 100 |
| 1 4 1 | 33.22 | 25 |
| 2 3 1 | 35.37 | 25 |
| 0 0 2 | 42.44 | 29 |

Entry 3:
For Ac2Zn3Si2, the GGA-PBE geometry in Alexandria gives the computed PXRD pattern in this record (Cu Kα, 1.54184 Å).
Lines closer than 0.1° are merged.

Structural model:
Cell: 3.941 21.181 4.227 Å, 90.00 90.00 90.00°
Positions (direct):
Ac (0.000, 0.159, 0.000)
Ac (0.000, 0.841, 0.000)
Ac (0.500, 0.341, 0.000)
Ac (0.500, 0.659, 0.000)
Zn (0.000, 0.000, 0.000)
Zn (0.000, 0.440, 0.500)
Zn (0.000, 0.560, 0.500)
Zn (0.500, 0.060, 0.500)
Zn (0.500, 0.500, 0.000)
Zn (0.500, 0.940, 0.500)
Si (0.000, 0.281, 0.500)
Si (0.000, 0.719, 0.500)
Si (0.500, 0.219, 0.500)
Si (0.500, 0.781, 0.500)

Peak list (8 most intense, 2θ from 10° to 90°, in order of rising 2θ)
| hkl | 2theta | I/Imax |
| --- | --- | --- |
| 0 0 1 | 21.02 | 30 |
| 1 3 0 | 25.89 | 59 |
| 1 1 1 | 31.32 | 100 |
| 0 6 1 | 33.06 | 79 |
| 1 3 1 | 33.58 | 46 |
| 1 7 0 | 37.47 | 51 |
| 0 0 2 | 42.76 | 34 |
| 2 6 1 | 57.86 | 32 |

Entry 4:
For Ac3Zn2Si, the GGA-PBE geometry in Alexandria gives the computed PXRD pattern in this record (Cu Kα, 1.54184 Å).
Lines closer than 0.1° are merged.

Structural model:
Cell: 12.885 4.229 13.457 Å, 90.00 90.00 90.00°
Positions (direct):
Ac (0.066, 0.250, 0.131)
Ac (0.117, 0.750, 0.556)
Ac (0.202, 0.250, 0.788)
Ac (0.298, 0.750, 0.288)
Ac (0.383, 0.250, 0.056)
Ac (0.434, 0.750, 0.631)
Ac (0.566, 0.250, 0.369)
Ac (0.617, 0.750, 0.944)
Ac (0.702, 0.250, 0.712)
Ac (0.798, 0.750, 0.212)
Ac (0.883, 0.250, 0.444)
Ac (0.934, 0.750, 0.869)
Zn (0.039, 0.750, 0.317)
Zn (0.194, 0.750, 0.982)
Zn (0.306, 0.250, 0.482)
Zn (0.461, 0.250, 0.817)
Zn (0.539, 0.750, 0.183)
Zn (0.694, 0.750, 0.518)
Zn (0.806, 0.250, 0.018)
Zn (0.961, 0.250, 0.683)
Si (0.131, 0.250, 0.375)
Si (0.369, 0.750, 0.875)
Si (0.631, 0.250, 0.125)
Si (0.869, 0.750, 0.625)

Peak list (8 most intense, 2θ from 10° to 90°, in order of rising 2θ)
| hkl | 2theta | I/Imax |
| --- | --- | --- |
| 3 0 2 | 24.59 | 45 |
| 2 1 1 | 26.06 | 36 |
| 4 0 1 | 28.51 | 100 |
| 0 1 3 | 29.02 | 83 |
| 3 1 1 | 30.40 | 47 |
| 3 1 2 | 32.56 | 32 |
| 2 0 5 | 36.17 | 31 |
| 0 2 0 | 42.76 | 33 |

Entry 5:
For Ac2ZnSi3, the GGA-PBE geometry in Alexandria gives the computed PXRD pattern in this record (Cu Kα, 1.54184 Å).
Lines closer than 0.1° are merged.

Structural model:
Cell: 4.233 4.673 7.222 Å, 90.00 90.00 90.00°
Positions (direct):
Ac (0.000, 0.000, 0.000)
Ac (0.500, 0.000, 0.489)
Zn (0.000, 0.500, 0.665)
Si (0.000, 0.500, 0.327)
Si (0.500, 0.500, 0.161)
Si (0.500, 0.500, 0.829)

Peak list (8 most intense, 2θ from 10° to 90°, in order of rising 2θ)
| hkl | 2theta | I/Imax |
| --- | --- | --- |
| 0 1 0 | 18.99 | 23 |
| 1 0 1 | 24.38 | 44 |
| 0 0 2 | 24.65 | 21 |
| 1 1 1 | 31.08 | 100 |
| 0 1 2 | 31.31 | 50 |
| 1 0 3 | 43.23 | 27 |
| 2 1 2 | 53.91 | 22 |
| 1 2 3 | 59.29 | 23 |

Entry 6:
For Ac3ZnSi2, the GGA-PBE geometry in Alexandria gives the computed PXRD pattern in this record (Cu Kα, 1.54184 Å).
Lines closer than 0.1° are merged.

Structural model:
Cell: 12.587 4.438 12.696 Å, 90.00 90.00 90.00°
Positions (direct):
Ac (0.066, 0.250, 0.115)
Ac (0.119, 0.750, 0.559)
Ac (0.195, 0.250, 0.796)
Ac (0.305, 0.750, 0.296)
Ac (0.381, 0.250, 0.059)
Ac (0.434, 0.750, 0.615)
Ac (0.566, 0.250, 0.385)
Ac (0.619, 0.750, 0.941)
Ac (0.695, 0.250, 0.704)
Ac (0.805, 0.750, 0.204)
Ac (0.881, 0.250, 0.441)
Ac (0.934, 0.750, 0.885)
Zn (0.136, 0.250, 0.361)
Zn (0.364, 0.750, 0.861)
Zn (0.636, 0.250, 0.139)
Zn (0.864, 0.750, 0.639)
Si (0.037, 0.750, 0.317)
Si (0.199, 0.750, 0.984)
Si (0.301, 0.250, 0.484)
Si (0.463, 0.250, 0.817)
Si (0.537, 0.750, 0.183)
Si (0.699, 0.750, 0.516)
Si (0.801, 0.250, 0.016)
Si (0.963, 0.250, 0.683)

Peak list (8 most intense, 2θ from 10° to 90°, in order of rising 2θ)
| hkl | 2theta | I/Imax |
| --- | --- | --- |
| 1 1 1 | 22.36 | 43 |
| 3 0 2 | 25.45 | 36 |
| 2 1 1 | 25.54 | 34 |
| 2 1 2 | 28.34 | 45 |
| 1 0 4 | 29.01 | 32 |
| 0 1 3 | 29.18 | 100 |
| 3 1 1 | 30.14 | 33 |
| 3 1 2 | 32.58 | 38 |

Entry 7:
For AcZr2Si4, the GGA-PBE geometry in Alexandria gives the computed PXRD pattern in this record (Cu Kα, 1.54184 Å).
Lines closer than 0.1° are merged.

Structural model:
Cell: 3.763 3.989 19.309 Å, 90.00 90.00 90.00°
Positions (direct):
Ac (0.000, 0.000, 0.000)
Ac (0.500, 0.500, 0.500)
Zr (0.000, 0.500, 0.308)
Zr (0.000, 0.500, 0.692)
Zr (0.500, 0.000, 0.192)
Zr (0.500, 0.000, 0.808)
Si (0.000, 0.000, 0.412)
Si (0.000, 0.000, 0.588)
Si (0.000, 0.500, 0.164)
Si (0.000, 0.500, 0.836)
Si (0.500, 0.000, 0.336)
Si (0.500, 0.000, 0.664)
Si (0.500, 0.500, 0.088)
Si (0.500, 0.500, 0.912)

Peak list (8 most intense, 2θ from 10° to 90°, in order of rising 2θ)
| hkl | 2theta | I/Imax |
| --- | --- | --- |
| 0 1 1 | 22.76 | 33 |
| 1 0 3 | 27.45 | 56 |
| 0 0 6 | 27.72 | 27 |
| 0 1 5 | 32.26 | 62 |
| 1 1 2 | 34.04 | 100 |
| 1 0 7 | 40.55 | 29 |
| 1 1 8 | 50.41 | 32 |
| 2 1 5 | 59.34 | 22 |

Entry 8:
For AcSm, the GGA-PBE geometry in Alexandria gives the computed PXRD pattern in this record (Cu Kα, 1.54184 Å).
Lines closer than 0.1° are merged.

Structural model:
Cell: 3.810 3.810 38.316 Å, 90.00 90.00 120.00°
Positions (direct):
Ac (0.000, 0.000, 0.000)
Ac (0.000, 0.000, 0.100)
Ac (0.333, 0.667, 0.667)
Ac (0.333, 0.667, 0.767)
Ac (0.667, 0.333, 0.333)
Ac (0.667, 0.333, 0.433)
Sm (0.000, 0.000, 0.255)
Sm (0.000, 0.000, 0.512)
Sm (0.333, 0.667, 0.179)
Sm (0.333, 0.667, 0.921)
Sm (0.667, 0.333, 0.588)
Sm (0.667, 0.333, 0.845)

Peak list (8 most intense, 2θ from 10° to 90°, in order of rising 2θ)
| hkl | 2theta | I/Imax |
| --- | --- | --- |
| 1 0 1 | 27.12 | 68 |
| 0 1 2 | 27.43 | 67 |
| 0 0 12 | 27.94 | 67 |
| 1 0 4 | 28.61 | 68 |
| 1 0 7 | 31.66 | 66 |
| 0 1 8 | 32.96 | 100 |
| 1 1 0 | 47.74 | 62 |
| 1 1 12 | 56.23 | 59 |